Computed powder diffraction line list
Compound: HoZn3P3
Radiation: Cu Kα (λ = 1.5418 Å)
Structure: the GGA-PBE geometry in OQMD

Structural model:
Lattice parameters (Å, degrees): 3.9878 3.9878 19.8061 90.00 90.00 120.00
Fractional positions:
Ho  0.0000  0.0000  0.0000
Ho  0.0000  0.0000  0.5000
Zn  0.3333  0.6667  0.1281
Zn  0.3333  0.6667  0.3719
Zn  0.3333  0.6667  0.7500
Zn  0.6667  0.3333  0.2500
Zn  0.6667  0.3333  0.6281
Zn  0.6667  0.3333  0.8719
P  0.3333  0.6667  0.2500
P  0.3333  0.6667  0.5832
P  0.3333  0.6667  0.9168
P  0.6667  0.3333  0.0832
P  0.6667  0.3333  0.4168
P  0.6667  0.3333  0.7500

Main lines, low angle first (2θ = 10–80°):
two_theta  I/Imax
27.35  100
31.59  67
34.45  34
37.70  59
45.49  67
59.53  38



Computed powder diffraction line list
Compound: Ho5Pb4
Radiation: Cu Kα (λ = 1.5418 Å)
Structure: the GGA-PBE geometry in OQMD

Structural model:
Lattice parameters (Å, degrees): 8.1565 15.5149 8.2098 90.00 90.00 90.00
Fractional positions:
Ho  0.0357  0.0993  0.1759
Ho  0.0357  0.4007  0.1759
Ho  0.1237  0.6209  0.3430
Ho  0.1237  0.8791  0.3430
Ho  0.2089  0.2500  0.5039
Ho  0.2911  0.7500  0.0039
Ho  0.3763  0.1209  0.8430
Ho  0.3763  0.3791  0.8430
Ho  0.4643  0.5993  0.6759
Ho  0.4643  0.9007  0.6759
Ho  0.5357  0.0993  0.3241
Ho  0.5357  0.4007  0.3241
Ho  0.6237  0.6209  0.1570
Ho  0.6237  0.8791  0.1570
Ho  0.7089  0.2500  0.9961
Ho  0.7911  0.7500  0.4961
Ho  0.8763  0.1209  0.6570
Ho  0.8763  0.3791  0.6570
Ho  0.9643  0.5993  0.8241
Ho  0.9643  0.9007  0.8241
Pb  0.0709  0.2500  0.8759
Pb  0.1524  0.7500  0.6531
Pb  0.2180  0.0429  0.5341
Pb  0.2180  0.4571  0.5341
Pb  0.2820  0.5429  0.0341
Pb  0.2820  0.9571  0.0341
Pb  0.3476  0.2500  0.1531
Pb  0.4291  0.7500  0.3759
Pb  0.5709  0.2500  0.6241
Pb  0.6524  0.7500  0.8469
Pb  0.7180  0.0429  0.9659
Pb  0.7180  0.4571  0.9659
Pb  0.7820  0.5429  0.4659
Pb  0.7820  0.9571  0.4659
Pb  0.8476  0.2500  0.3469
Pb  0.9291  0.7500  0.1241

Main lines, low angle first (2θ = 10–80°):
two_theta  I/Imax
29.89  100
30.91  26
33.69  54
34.73  44
35.07  40
35.25  24



Computed powder diffraction line list
Compound: Ho2PbS4
Radiation: Cu Kα (λ = 1.5418 Å)
Structure: the GGA-PBE geometry in OQMD

Structural model:
Lattice parameters (Å, degrees): 12.0099 3.9724 14.3106 90.00 90.00 90.00
Fractional positions:
Ho  0.0658  0.2500  0.1114
Ho  0.0816  0.2500  0.5999
Ho  0.4184  0.7500  0.0999
Ho  0.4342  0.7500  0.6114
Ho  0.5658  0.2500  0.3886
Ho  0.5816  0.2500  0.9001
Ho  0.9184  0.7500  0.4001
Ho  0.9342  0.7500  0.8886
Pb  0.2407  0.2500  0.3373
Pb  0.2593  0.7500  0.8373
Pb  0.7407  0.2500  0.1627
Pb  0.7593  0.7500  0.6627
S  0.0235  0.7500  0.7150
S  0.0862  0.2500  0.9231
S  0.1292  0.7500  0.4724
S  0.2073  0.7500  0.1723
S  0.2927  0.2500  0.6723
S  0.3708  0.2500  0.9724
S  0.4138  0.7500  0.4231
S  0.4765  0.2500  0.2150
S  0.5235  0.7500  0.7850
S  0.5862  0.2500  0.5769
S  0.6292  0.7500  0.0276
S  0.7073  0.7500  0.3277
S  0.7927  0.2500  0.8277
S  0.8708  0.2500  0.5276
S  0.9138  0.7500  0.0769
S  0.9765  0.2500  0.2850

Main lines, low angle first (2θ = 10–80°):
two_theta  I/Imax
24.89  41
25.50  100
26.72  51
26.91  29
30.21  42
37.00  53



Computed powder diffraction line list
Compound: Ho2Sn3Pb3S12
Radiation: Cu Kα (λ = 1.5418 Å)
Structure: the GGA-PBE geometry in OQMD

Structural model:
Lattice parameters (Å, degrees): 3.9302 20.3881 11.6081 90.00 90.00 90.00
Fractional positions:
Ho  0.0000  0.0882  0.0000
Ho  0.0000  0.3933  0.6787
Ho  0.0000  0.6067  0.1787
Ho  0.0000  0.9118  0.5000
Sn  0.5000  0.0721  0.3482
Sn  0.5000  0.2501  0.8554
Sn  0.5000  0.4113  0.3713
Sn  0.5000  0.5887  0.8713
Sn  0.5000  0.7499  0.3554
Sn  0.5000  0.9279  0.8482
Pb  0.0000  0.1210  0.6265
Pb  0.0000  0.2399  0.2582
Pb  0.0000  0.4162  0.0556
Pb  0.0000  0.5838  0.5556
Pb  0.0000  0.7601  0.7582
Pb  0.0000  0.8790  0.1265
S  0.0000  0.0041  0.2956
S  0.0000  0.2384  0.0006
S  0.0000  0.2566  0.7035
S  0.0000  0.3413  0.4549
S  0.0000  0.4826  0.2880
S  0.0000  0.5174  0.7880
S  0.0000  0.6587  0.9549
S  0.0000  0.7434  0.2035
S  0.0000  0.7616  0.5006
S  0.0000  0.9959  0.7956
S  0.5000  0.0085  0.5391
S  0.5000  0.1260  0.8372
S  0.5000  0.1376  0.1587
S  0.5000  0.1758  0.4544
S  0.5000  0.3417  0.1901
S  0.5000  0.3755  0.8437
S  0.5000  0.4679  0.5670
S  0.5000  0.5321  0.0670
S  0.5000  0.6245  0.3437
S  0.5000  0.6583  0.6901
S  0.5000  0.8242  0.9544
S  0.5000  0.8624  0.6587
S  0.5000  0.8740  0.3372
S  0.5000  0.9915  0.0391

Main lines, low angle first (2θ = 10–80°):
two_theta  I/Imax
26.23  29
26.51  44
27.35  100
32.62  54
32.78  27
46.22  34



Computed powder diffraction line list
Compound: SmHoZn2Pb2
Radiation: Cu Kα (λ = 1.5418 Å)
Structure: the GGA-PBE geometry in OQMD

Structural model:
Lattice parameters (Å, degrees): 4.6002 4.6002 16.1754 90.00 90.00 120.00
Fractional positions:
Sm  0.0000  0.0000  0.0000
Sm  0.0000  0.0000  0.5000
Ho  0.0000  0.0000  0.2500
Ho  0.0000  0.0000  0.7500
Zn  0.3333  0.6667  0.1665
Zn  0.3333  0.6667  0.3335
Zn  0.6667  0.3333  0.6665
Zn  0.6667  0.3333  0.8335
Pb  0.3333  0.6667  0.6127
Pb  0.3333  0.6667  0.8873
Pb  0.6667  0.3333  0.1127
Pb  0.6667  0.3333  0.3873

Main lines, low angle first (2θ = 10–80°):
two_theta  I/Imax
27.84  42
31.52  100
39.17  71
45.37  28
51.12  26
66.23  24



Computed powder diffraction line list
Compound: SmHoZn2Pb2
Radiation: Cu Kα (λ = 1.5418 Å)
Structure: the GGA-PBE geometry in OQMD

Structural model:
Lattice parameters (Å, degrees): 4.6085 4.6085 16.1047 90.00 90.00 120.00
Fractional positions:
Sm  0.0000  0.0000  0.2500
Sm  0.0000  0.0000  0.7500
Ho  0.0000  0.0000  0.0000
Ho  0.0000  0.0000  0.5000
Zn  0.3333  0.6667  0.1632
Zn  0.3333  0.6667  0.3368
Zn  0.6667  0.3333  0.6632
Zn  0.6667  0.3333  0.8368
Pb  0.3333  0.6667  0.6081
Pb  0.3333  0.6667  0.8919
Pb  0.6667  0.3333  0.1081
Pb  0.6667  0.3333  0.3919

Main lines, low angle first (2θ = 10–80°):
two_theta  I/Imax
27.86  45
31.56  100
39.09  72
45.51  26
51.08  26
66.15  24



Computed powder diffraction line list
Compound: TbHoPb4
Radiation: Cu Kα (λ = 1.5418 Å)
Structure: the GGA-PBE geometry in OQMD

Structural model:
Lattice parameters (Å, degrees): 4.5020 8.5823 8.5823 30.80 90.00 90.00
Fractional positions:
Tb  0.0000  0.0000  0.0000
Ho  0.5000  0.1895  0.1895
Pb  0.0000  0.3450  0.3450
Pb  0.0000  0.6641  0.6641
Pb  0.5000  0.5263  0.5263
Pb  0.5000  0.8435  0.8435

Main lines, low angle first (2θ = 10–80°):
two_theta  I/Imax
32.32  100
32.46  22
39.54  15
40.06  15
57.82  14
67.20  13



Computed powder diffraction line list
Compound: Ho8Pd
Radiation: Cu Kα (λ = 1.5418 Å)
Structure: the GGA-PBE geometry in OQMD

Structural model:
Lattice parameters (Å, degrees): 9.0801 9.0801 3.6555 90.00 90.00 120.00
Fractional positions:
Ho  0.0000  0.2476  0.0000
Ho  0.0000  0.6111  0.5000
Ho  0.2476  0.0000  0.0000
Ho  0.3333  0.6667  0.0000
Ho  0.3889  0.3889  0.5000
Ho  0.6111  0.0000  0.5000
Ho  0.6667  0.3333  0.0000
Ho  0.7524  0.7524  0.0000
Pd  0.0000  0.0000  0.5000

Main lines, low angle first (2θ = 10–80°):
two_theta  I/Imax
30.07  67
31.42  100
33.47  65
34.21  59
39.06  40
56.92  38